[1]
RbSbMoO6: calculated powder XRD pattern (Cu Kα (weighted mean of Kα1 and Kα2)), based on a crystal structure in the Materials Project, relaxed with PBE+U.
Lines closer than 0.1° are merged.

The 10 most intense peaks (2θ from 10° to 80°), low angle first:
| 2θ/deg | d/Å | I (rel.) |
| --- | --- | --- |
| 14.49 | 6.114 | 42 |
| 14.93 | 5.934 | 17 |
| 27.88 | 3.200 | 59 |
| 28.57 | 3.124 | 100 |
| 28.78 | 3.102 | 20 |
| 29.21 | 3.057 | 36 |
| 30.12 | 2.967 | 45 |
| 44.47 | 2.037 | 25 |
| 49.61 | 1.838 | 43 |
| 57.63 | 1.599 | 16 |

Crystal structure
```
RbSbMoO6
1.0
-3.631 5.146 3.800
3.631 -5.146 3.800
3.631 5.146 -3.800
Rb Sb Mo O
2 2 2 12
direct
0.138 0.250 0.388
0.862 0.750 0.612
0.538 0.038 0.500
0.538 0.538 0.000
0.017 0.507 0.010
0.496 0.007 0.990
0.218 0.785 0.933
0.220 0.410 0.935
0.220 0.785 0.311
0.462 0.290 0.672
0.475 0.285 0.065
0.475 0.910 0.689
0.599 0.166 0.309
0.599 0.790 0.933
0.617 0.790 0.328
0.853 0.285 0.067
0.857 0.290 0.691
0.857 0.666 0.067
```

[2]
RbScMo2O8: calculated powder XRD pattern (Cu Kα (weighted mean of Kα1 and Kα2)), based on a crystal structure in the Materials Project, relaxed with PBE+U.
Lines closer than 0.1° are merged.

The 10 most intense peaks (2θ from 10° to 80°), low angle first:
| 2θ/deg | d/Å | I (rel.) |
| --- | --- | --- |
| 20.76 | 4.278 | 100 |
| 28.78 | 3.102 | 46 |
| 30.27 | 2.953 | 50 |
| 42.25 | 2.139 | 21 |
| 48.51 | 1.876 | 19 |
| 52.85 | 1.732 | 17 |
| 56.54 | 1.628 | 17 |
| 62.95 | 1.476 | 10 |
| 70.68 | 1.333 | 12 |
| 73.81 | 1.284 | 10 |

Crystal structure
```
RbScMo2O8
1.0
5.906 0.000 0.000
-2.953 5.115 0.000
0.000 0.000 7.804
Rb Sc Mo O
1 1 2 8
direct
0.000 0.000 0.000
0.000 0.000 0.500
0.333 0.667 0.266
0.667 0.333 0.734
0.165 0.330 0.338
0.165 0.835 0.338
0.330 0.165 0.662
0.333 0.667 0.042
0.667 0.333 0.958
0.670 0.835 0.338
0.835 0.165 0.662
0.835 0.670 0.662
```

[3]
Rb2Mo3SeO12: calculated powder XRD pattern (Cu Kα (weighted mean of Kα1 and Kα2)), based on a crystal structure in the Materials Project, relaxed with PBE+U.
Lines closer than 0.1° are merged.

The 10 most intense peaks (2θ from 10° to 80°), low angle first:
| 2θ/deg | d/Å | I (rel.) |
| --- | --- | --- |
| 14.33 | 6.181 | 25 |
| 15.60 | 5.682 | 15 |
| 25.72 | 3.464 | 45 |
| 28.14 | 3.171 | 91 |
| 28.84 | 3.096 | 100 |
| 44.96 | 2.016 | 22 |
| 46.42 | 1.956 | 25 |
| 49.34 | 1.847 | 31 |
| 56.46 | 1.630 | 18 |
| 58.17 | 1.586 | 21 |

Crystal structure
```
Rb2Mo3SeO12
1.0
7.388 0.000 0.000
-3.694 6.398 0.000
0.000 0.000 12.361
Rb Mo Se O
4 6 2 24
direct
0.333 0.667 0.000
0.333 0.667 0.378
0.667 0.333 0.500
0.667 0.333 0.878
0.140 0.340 0.665
0.199 0.860 0.665
0.340 0.199 0.165
0.660 0.801 0.665
0.801 0.140 0.165
0.860 0.660 0.165
0.000 0.000 0.436
0.000 0.000 0.936
0.086 0.547 0.618
0.119 0.872 0.495
0.122 0.252 0.178
0.128 0.247 0.495
0.129 0.878 0.178
0.201 0.406 0.801
0.205 0.799 0.801
0.247 0.119 0.995
0.252 0.129 0.678
0.406 0.205 0.301
0.453 0.539 0.618
0.461 0.914 0.618
0.539 0.086 0.118
0.547 0.461 0.118
0.594 0.795 0.801
0.748 0.871 0.178
0.753 0.881 0.495
0.795 0.201 0.301
0.799 0.594 0.301
0.871 0.122 0.678
0.872 0.753 0.995
0.878 0.748 0.678
0.881 0.128 0.995
0.914 0.453 0.118
```

[4]
Rb2MoSeO6: calculated powder XRD pattern (Cu Kα (weighted mean of Kα1 and Kα2)), based on a crystal structure in the Materials Project, relaxed with PBE+U.
Lines closer than 0.1° are merged.

The 10 most intense peaks (2θ from 10° to 80°), low angle first:
| 2θ/deg | d/Å | I (rel.) |
| --- | --- | --- |
| 15.16 | 5.843 | 10 |
| 23.99 | 3.709 | 9 |
| 26.50 | 3.364 | 100 |
| 28.08 | 3.178 | 32 |
| 30.08 | 2.970 | 38 |
| 36.04 | 2.492 | 12 |
| 37.26 | 2.413 | 15 |
| 39.01 | 2.309 | 17 |
| 48.72 | 1.869 | 14 |
| 50.96 | 1.792 | 8 |

Crystal structure
```
Rb2MoSeO6
1.0
7.933 0.000 0.000
0.000 6.356 0.000
0.000 0.000 14.836
Rb Mo Se O
8 4 4 24
direct
0.123 0.250 0.036
0.156 0.250 0.303
0.344 0.750 0.803
0.377 0.750 0.536
0.623 0.250 0.464
0.656 0.250 0.197
0.844 0.750 0.697
0.877 0.750 0.964
0.101 0.250 0.767
0.399 0.750 0.267
0.601 0.250 0.733
0.899 0.750 0.233
0.082 0.250 0.563
0.418 0.750 0.063
0.582 0.250 0.937
0.918 0.750 0.437
0.050 0.026 0.834
0.050 0.474 0.834
0.111 0.050 0.644
0.111 0.450 0.644
0.170 0.750 0.276
0.244 0.750 0.999
0.256 0.250 0.499
0.330 0.250 0.776
0.389 0.550 0.144
0.389 0.950 0.144
0.450 0.526 0.334
0.450 0.974 0.334
0.550 0.026 0.666
0.550 0.474 0.666
0.611 0.050 0.856
0.611 0.450 0.856
0.670 0.750 0.224
0.744 0.750 0.501
0.756 0.250 0.001
0.830 0.250 0.724
0.889 0.550 0.356
0.889 0.950 0.356
0.950 0.526 0.166
0.950 0.974 0.166
```

[5]
RbTbMo2O8: calculated powder XRD pattern (Cu Kα (weighted mean of Kα1 and Kα2)), based on a crystal structure in the Materials Project, relaxed with PBE+U.
Lines closer than 0.1° are merged.

The 10 most intense peaks (2θ from 10° to 80°), low angle first:
| 2θ/deg | d/Å | I (rel.) |
| --- | --- | --- |
| 14.17 | 6.248 | 18 |
| 27.63 | 3.229 | 100 |
| 28.57 | 3.124 | 66 |
| 30.45 | 2.935 | 31 |
| 33.14 | 2.703 | 10 |
| 34.02 | 2.635 | 21 |
| 46.30 | 1.961 | 16 |
| 50.99 | 1.791 | 10 |
| 51.85 | 1.763 | 10 |
| 53.51 | 1.712 | 14 |

Crystal structure
```
RbTbMo2O8
1.0
5.414 -5.270 0.000
5.414 5.270 0.000
-5.113 0.000 5.871
Rb Tb Mo O
2 2 4 16
direct
0.199 0.801 0.750
0.801 0.199 0.250
0.229 0.771 0.250
0.771 0.229 0.750
0.304 0.305 0.763
0.305 0.304 0.263
0.695 0.696 0.737
0.696 0.695 0.237
0.048 0.207 0.692
0.068 0.383 0.125
0.207 0.048 0.192
0.235 0.385 0.562
0.368 0.585 0.030
0.383 0.068 0.625
0.385 0.235 0.062
0.415 0.632 0.470
0.585 0.368 0.530
0.615 0.765 0.938
0.617 0.932 0.375
0.632 0.415 0.970
0.765 0.615 0.438
0.793 0.952 0.808
0.932 0.617 0.875
0.952 0.793 0.308
```